[1]
Theoretical powder diffraction line list of CdHg2Pb for CuKα, from a structure optimized by DFT (PBE).

Main lines, in order of rising 2θ (2θ = 10–90°):
- 2θ 32.23, I = 51
- 2θ 32.40, I = 52
- 2θ 33.24, I = 97
- 2θ 38.03, I = 100
- 2θ 54.78, I = 22
- 2θ 55.00, I = 25
- 2θ 64.44, I = 14
- 2θ 66.16, I = 14

Cell and atoms:
Cell lengths 11.319, 3.281, 5.819 Å; angles 90.00, 100.99, 90.00 degrees
Atoms (fractional coordinates):
Cd1 0.000 0.000 0.000
Cd2 0.500 0.500 0.000
Hg1 0.008 0.500 0.515
Hg2 0.265 0.000 0.768
Hg3 0.508 0.000 0.515
Hg4 0.765 0.500 0.768
Pb1 0.246 0.500 0.263
Pb2 0.746 0.000 0.263

[2]
Theoretical powder diffraction line list of Nd8Co2Ge for CuKα, from a structure optimized by DFT (PBE).

Main lines, in order of rising 2θ (2θ = 10–90°):
- 2θ 26.56, I = 71
- 2θ 28.81, I = 79
- 2θ 29.89, I = 100
- 2θ 30.65, I = 88
- 2θ 31.74, I = 87
- 2θ 32.70, I = 63
- 2θ 33.13, I = 77
- 2θ 36.20, I = 70

Cell and atoms:
Cell lengths 7.619, 7.619, 6.403 Å; angles 100.12, 100.12, 113.43 degrees
Atoms (fractional coordinates):
Nd1 0.000 0.000 0.000
Nd2 0.006 0.279 0.578
Nd3 0.140 0.571 0.184
Nd4 0.279 0.006 0.578
Nd5 0.433 0.703 0.789
Nd6 0.571 0.140 0.184
Nd7 0.703 0.433 0.789
Nd8 0.727 0.727 0.394
Co1 0.044 0.664 0.697
Co2 0.664 0.044 0.697
Ge1 0.361 0.361 0.384